Ge2HPd4: calculated powder diffractogram (CuKα), based on the GGA-PBE geometry in Alexandria.

```
data_Ge2HPd4
_symmetry_space_group_name_H-M 'C 1 2 1'
_symmetry_Int_Tables_number 5
_cell_length_a 10.3345
_cell_length_b 5.5822
_cell_length_c 7.7859
_cell_angle_alpha 90.00
_cell_angle_beta 116.69
_cell_angle_gamma 90.00
loop_
_symmetry_equiv_pos_as_xyz
'x,y,z'
'-x,y,-z'
'x+1/2,y+1/2,z'
'-x+1/2,y+1/2,-z'
loop_
_atom_site_label
_atom_site_fract_x
_atom_site_fract_y
_atom_site_fract_z
Ge1 0.0000 0.0000 0.0000
Ge2 0.0000 0.4602 0.5000
Ge3 0.2463 0.8954 0.9134
H1 0.2059 0.0936 0.5222
Pd1 0.0153 0.0938 0.3179
Pd2 0.0399 0.5903 0.8322
Pd3 0.1979 0.7644 0.5910
Pd4 0.2398 0.7892 0.2410
```

Top 10 peaks for 5° ≤ 2θ ≤ 70°, low angle first:
d (Å)  intensity  index
2.695  12.1  3 1 0
2.512  20.6  4 0 -2
2.389  86.6  2 2 0
2.308  100.0  4 0 0
2.249  40.9  3 1 -3
2.234  20.7  3 1 1
2.225  21.3  2 2 -2
1.918  33.4  1 1 3
1.867  13.6  4 2 -2
1.728  14.9  1 3 1

***

PuGeHPd: calculated powder diffractogram (CuKα), based on the GGA-PBE geometry in Alexandria.

```
data_PuGeHPd
_symmetry_space_group_name_H-M 'P -6 m 2'
_symmetry_Int_Tables_number 187
_symmetry_space_group_name_Hall 'P -6 2'
_cell_length_a 4.4410
_cell_length_b 4.4410
_cell_length_c 3.7331
_cell_angle_alpha 90.00
_cell_angle_beta 90.00
_cell_angle_gamma 120.00
loop_
_atom_site_label
_atom_site_fract_x
_atom_site_fract_y
_atom_site_fract_z
Pu1 0.0000 0.0000 0.0000
Ge1 0.3333 0.6667 0.5000
H1 0.6667 0.3333 0.0000
Pd1 0.6667 0.3333 0.5000
```

Top 10 peaks for 5° ≤ 2θ ≤ 70°, low angle first:
d (Å)  intensity  index
3.846  23.8  1 0 0
2.679  100.0  1 0 1
2.220  48.7  1 1 0
1.923  3.9  2 0 0
1.867  9.6  0 0 2
1.710  26.8  2 0 1
1.679  5.2  1 0 2
1.454  3.3  2 1 0
1.429  24.1  1 1 2
1.355  25.0  2 1 1

***

Pm5Ge2H: calculated powder diffractogram (CuKα), based on the GGA-PBE geometry in Alexandria.

```
data_Pm5Ge2H
_symmetry_space_group_name_H-M 'F m m m'
_symmetry_Int_Tables_number 69
_symmetry_space_group_name_Hall '-F 2 2'
_cell_length_a 5.4956
_cell_length_b 9.5578
_cell_length_c 15.1464
_cell_angle_alpha 90.00
_cell_angle_beta 90.00
_cell_angle_gamma 90.00
loop_
_atom_site_label
_atom_site_fract_x
_atom_site_fract_y
_atom_site_fract_z
Pm1 0.0000 0.0000 0.0000
Pm2 0.0000 0.1643 0.3626
Ge1 0.0000 0.0000 0.1898
H1 0.0000 0.0000 0.5000
```

Top 10 peaks for 5° ≤ 2θ ≤ 70°, low angle first:
d (Å)  intensity  index
3.787  28.4  0 0 4
3.465  39.4  1 1 3
2.968  33.5  0 2 4
2.748  60.1  2 0 0
2.712  100.0  1 3 1
2.556  41.0  1 1 5
2.419  51.7  1 3 3
2.016  22.3  2 2 4
1.702  34.5  1 3 7
1.579  19.5  3 3 1

***

Pm12Ge5H2: calculated powder diffractogram (CuKα), based on the GGA-PBE geometry in Alexandria.

```
data_Pm12Ge5H2
_symmetry_space_group_name_H-M 'C 1 2/m 1'
_symmetry_Int_Tables_number 12
_cell_length_a 16.4993
_cell_length_b 7.4735
_cell_length_c 9.0788
_cell_angle_alpha 90.00
_cell_angle_beta 105.03
_cell_angle_gamma 90.00
loop_
_symmetry_equiv_pos_as_xyz
'x,y,z'
'-x,-y,-z'
'-x,y,-z'
'x,-y,z'
'x+1/2,y+1/2,z'
'-x+1/2,-y+1/2,-z'
'-x+1/2,y+1/2,-z'
'x+1/2,-y+1/2,z'
loop_
_atom_site_label
_atom_site_fract_x
_atom_site_fract_y
_atom_site_fract_z
Pm1 0.0053 0.0000 0.2319
Pm2 0.0069 0.5000 0.8169
Pm3 0.1453 0.2488 0.5678
Pm4 0.1602 0.2525 0.0893
Ge1 0.0000 0.5000 0.5000
Ge2 0.1835 0.0000 0.8440
Ge3 0.1991 0.0000 0.3525
H1 0.0000 0.2502 0.0000
```

Top 10 peaks for 5° ≤ 2θ ≤ 70°, low angle first:
d (Å)  intensity  index
3.479  59.9  2 0 2
3.423  60.9  4 0 -2
3.383  50.3  2 2 0
2.844  60.7  0 2 2
2.834  69.6  2 2 -2
2.725  100.0  4 2 0
2.656  61.5  6 0 0
2.546  34.9  2 2 2
2.269  38.6  2 0 -4
1.868  30.9  0 4 0

***

Pm4Pr2Ge3H2: calculated powder diffractogram (CuKα), based on the GGA-PBE geometry in Alexandria.

```
data_Pm4Pr2Ge3H2
_symmetry_space_group_name_H-M 'I 4/m m m'
_symmetry_Int_Tables_number 139
_symmetry_space_group_name_Hall '-I 4 2'
_cell_length_a 4.6813
_cell_length_b 4.6813
_cell_length_c 24.4095
_cell_angle_alpha 90.00
_cell_angle_beta 90.00
_cell_angle_gamma 90.00
loop_
_atom_site_label
_atom_site_fract_x
_atom_site_fract_y
_atom_site_fract_z
Pm1 0.0000 0.5000 0.0800
Pr1 0.0000 0.0000 0.2024
Ge1 0.0000 0.0000 0.3292
Ge2 0.0000 0.0000 0.5000
H1 0.0000 0.0000 0.0999
```

Top 10 peaks for 5° ≤ 2θ ≤ 70°, low angle first:
d (Å)  intensity  index
4.063  19.2  0 0 6
3.195  73.6  1 1 2
3.051  19.5  0 0 8
2.910  24.8  1 1 4
2.797  23.3  1 0 7
2.568  100.0  1 1 6
2.341  61.7  2 0 0
1.857  18.8  2 0 8
1.655  23.8  2 2 0
1.391  29.5  3 1 6

***

Pm2Ge2HRu2: calculated powder diffractogram (CuKα), based on the GGA-PBE geometry in Alexandria.

```
data_Pm2Ge2HRu2
_symmetry_space_group_name_H-M 'I 4/m m m'
_symmetry_Int_Tables_number 139
_symmetry_space_group_name_Hall '-I 4 2'
_cell_length_a 4.1713
_cell_length_b 4.1713
_cell_length_c 14.5020
_cell_angle_alpha 90.00
_cell_angle_beta 90.00
_cell_angle_gamma 90.00
loop_
_atom_site_label
_atom_site_fract_x
_atom_site_fract_y
_atom_site_fract_z
Pm1 0.0000 0.0000 0.1590
Ge1 0.0000 0.0000 0.3930
H1 0.0000 0.0000 0.0000
Ru1 0.0000 0.5000 0.0000
```

Top 10 peaks for 5° ≤ 2θ ≤ 70°, low angle first:
d (Å)  intensity  index
7.251  23.9  0 0 2
3.158  42.8  1 0 3
2.950  20.4  1 1 0
2.732  50.0  1 1 2
2.417  16.1  0 0 6
2.381  21.0  1 0 5
2.288  100.0  1 1 4
2.086  56.7  2 0 0
1.579  17.1  2 0 6
1.475  18.4  2 2 0

***

Pr4GeHS2: calculated powder diffractogram (CuKα), based on the GGA-PBE geometry in Alexandria.

```
data_Pr4GeHS2
_symmetry_space_group_name_H-M 'F m m 2'
_symmetry_Int_Tables_number 42
_symmetry_space_group_name_Hall 'F 2 -2'
_cell_length_a 8.2275
_cell_length_b 11.6928
_cell_length_c 8.2734
_cell_angle_alpha 90.00
_cell_angle_beta 90.00
_cell_angle_gamma 90.00
loop_
_atom_site_label
_atom_site_fract_x
_atom_site_fract_y
_atom_site_fract_z
Pr1 0.0000 0.2489 0.0000
Pr2 0.2372 0.0000 0.7413
Ge1 0.0000 0.0000 0.0052
H1 0.0000 0.0000 0.5377
S1 0.2500 0.2500 0.2493
```

Top 10 peaks for 5° ≤ 2θ ≤ 70°, low angle first:
d (Å)  intensity  index
3.377  34.4  0 2 2
3.364  33.5  2 2 0
2.919  100.0  0 4 0
2.066  61.1  2 4 2
2.057  11.7  4 0 0
1.762  22.1  0 6 2
1.757  10.4  4 2 2
1.688  12.8  0 4 4
1.682  12.4  4 4 0
1.458  7.5  4 0 4